Calculated powder diffraction line list of AlCo2O4 for Cu Kα, 1.54184 Å, from the PBE+U geometry in OQMD.
Neutral-atom scattering factors, no anomalous dispersion.

Cell lengths 8.176, 8.176, 8.176 Å; angles 90.00, 90.00, 90.00 degrees
Space group Fd-3m (No. 227, origin choice 2)
Inequivalent atoms, fractional coordinates:
Al 0.125 0.125 0.125 (multiplicity 8)
Co 0.000 0.000 0.500 (multiplicity 16)
O 0.001 0.001 0.749 (multiplicity 32)

Most intense lines, 10 to 90 degrees two-theta, by angle:
- 2θ = 18.8°, d 4.720, I 53
- 2θ = 30.9°, d 2.891, I 9
- 2θ = 36.4°, d 2.465, I 100
- 2θ = 38.1°, d 2.360, I 16
- 2θ = 44.3°, d 2.044, I 54
- 2θ = 48.5°, d 1.876, I 11
- 2θ = 58.7°, d 1.573, I 31
- 2θ = 64.5°, d 1.445, I 54
- 2θ = 76.4°, d 1.247, I 10
- 2θ = 81.6°, d 1.180, I 9